No. 1
For NbNO, a cell relaxed with GGA-PBE gives the computed powder diffractogram in this record (copper Kα).
Kinematic intensities with the Lorentz-polarization factor, no thermal factor.

Main lines, sorted by position (2θ from 15° to 90°):
2θ/deg, Rel. int., (hkl)
25.00, 18, 1 0 2
28.60, 100, 1 1 2
32.19, 73, 1 -1 2
34.60, 28, 0 2 0
36.21, 19, 2 0 0
41.50, 20, 2 1 -2
51.28, 23, 2 0 -4
55.50, 17, 2 -2 0

Crystal structure
```
data_NbNO
_chemical_formula_sum 'Nb8 N8 O8'
_cell_length_a 5.037
_cell_length_b 5.263
_cell_length_c 10.234
_cell_angle_alpha 89.76
_cell_angle_beta 89.98
_cell_angle_gamma 80.13
_space_group_name_H-M_alt 'P 1'
_space_group_IT_number 1
_space_group_name_Hall 'P 1'
loop_
_atom_site_label
_atom_site_type_symbol
_atom_site_fract_x
_atom_site_fract_y
_atom_site_fract_z
_atom_site_occupancy
Nb1 Nb 0.000 0.000 0.000 1
Nb2 Nb 0.000 0.492 0.296 1
Nb3 Nb 0.406 0.932 0.249 1
Nb4 Nb 0.408 0.434 0.047 1
Nb5 Nb 0.412 0.925 0.748 1
Nb6 Nb 0.419 0.440 0.552 1
Nb7 Nb 0.986 0.506 0.798 1
Nb8 Nb 0.990 0.991 0.493 1
N1 N 0.137 0.743 0.644 1
N2 N 0.143 0.737 0.146 1
N3 N 0.145 0.237 0.149 1
N4 N 0.255 0.187 0.394 1
N5 N 0.258 0.198 0.890 1
N6 N 0.260 0.690 0.400 1
N7 N 0.261 0.698 0.903 1
N8 N 0.640 0.556 0.688 1
O1 O 0.141 0.238 0.649 1
O2 O 0.631 0.057 0.607 1
O3 O 0.637 0.555 0.189 1
O4 O 0.638 0.056 0.108 1
O5 O 0.764 0.867 0.358 1
O6 O 0.766 0.874 0.861 1
O7 O 0.767 0.370 0.437 1
O8 O 0.767 0.376 0.941 1
```

No. 2
For TiS3, a cell relaxed with GGA-PBE gives the computed powder diffractogram in this record (copper Kα).
Kinematic intensities with the Lorentz-polarization factor, no thermal factor.

Main lines, sorted by position (2θ from 15° to 90°):
2θ/deg, Rel. int., (hkl)
25.66, 100, 3 0 0
37.48, 74, 2 1 1
39.66, 39, 4 1 0
43.29, 92, 1 3 1
45.24, 34, 3 3 0
45.98, 52, 4 0 1
55.07, 26, 5 2 0
61.71, 25, 4 4 0

Crystal structure
```
data_TiS3
_chemical_formula_sum 'Ti3 S9'
_cell_length_a 12.0259
_cell_length_b 12.0259
_cell_length_c 3.0272
_cell_angle_alpha 90.00
_cell_angle_beta 90.00
_cell_angle_gamma 120.00
_space_group_name_H-M_alt 'R 3 m'
_space_group_IT_number 160
_space_group_name_Hall 'R 3 -2"'
loop_
_atom_site_label
_atom_site_type_symbol
_atom_site_fract_x
_atom_site_fract_y
_atom_site_fract_z
_atom_site_occupancy
Ti1 Ti 0.0000 0.0000 0.0000 1
S1 S 0.1772 0.0886 0.5001 1
```